(1)
Diffraction record for SrLaNiRuO6. The X-ray powder pattern is simulated, not measured: it uses DFT lattice parameters and positions (PBE+U) and copper Kα.

Crystal structure
Cell: 5.5892 5.6745 9.6807 Å, 90.00 125.24 90.00°
Element x y z (fractional)
Sr  0.0000  0.2107  0.0000
Sr  0.0000  0.7893  0.5000
La  0.4803  0.2973  0.4981
La  0.4803  0.7027  0.9981
Ni  0.2420  0.2479  0.7497
Ni  0.2420  0.7521  0.2497
Ru  0.7425  0.2476  0.2499
Ru  0.7425  0.7524  0.7499
O  0.0702  0.0477  0.2922
O  0.0702  0.9523  0.7922
O  0.4296  0.4606  0.2138
O  0.4296  0.5394  0.7138
O  0.5005  0.0364  0.7065
O  0.5005  0.9636  0.2065
O  0.5664  0.2706  0.0057
O  0.5664  0.7294  0.5057
O  0.9020  0.2340  0.4942
O  0.9020  0.7660  0.9942
O  0.9935  0.4766  0.7899
O  0.9935  0.5234  0.2899

Top 6 peaks for 15 to 90 degrees two-theta, sorted by position:
2theta, d/Å, I (rel.), h k l
31.5, 2.837, 23, 0 2 0
31.9, 2.805, 100, 1 1 -3
32.0, 2.795, 25, 2 0 -2
45.6, 1.991, 27, 2 2 -2
45.9, 1.977, 15, 0 0 4
57.0, 1.615, 33, 2 0 -6

(2)
Diffraction record for TeW2O8. The X-ray powder pattern is simulated, not measured: it uses DFT lattice parameters and positions (PBE+U) and copper Kα.

Crystal structure
Cell: 5.2790 5.7485 10.9142 Å, 90.00 111.70 90.00°
Element x y z (fractional)
Te  0.0000  0.0962  0.2500
Te  0.0000  0.9038  0.7500
W  0.2504  0.3468  0.0096
W  0.2504  0.6532  0.5096
W  0.7496  0.3468  0.4904
W  0.7496  0.6532  0.9904
O  0.1390  0.4228  0.6075
O  0.1390  0.5772  0.1075
O  0.2192  0.1101  0.1178
O  0.2192  0.8899  0.6178
O  0.2335  0.1373  0.8658
O  0.2335  0.8627  0.3658
O  0.3618  0.3749  0.4099
O  0.3618  0.6251  0.9099
O  0.6382  0.3749  0.0901
O  0.6382  0.6251  0.5901
O  0.7665  0.1373  0.6342
O  0.7665  0.8627  0.1342
O  0.7808  0.1101  0.3822
O  0.7808  0.8899  0.8822
O  0.8610  0.4228  0.8925
O  0.8610  0.5772  0.3925

Top 6 peaks for 15 to 90 degrees two-theta, sorted by position:
2theta, d/Å, I (rel.), h k l
17.5, 5.070, 61, 0 0 2
23.0, 3.872, 61, 1 1 -1
23.4, 3.803, 100, 0 1 2
27.7, 3.221, 80, 1 1 1
30.3, 2.952, 64, 1 1 -3
35.6, 2.520, 50, 1 2 -1